Starting from a cell relaxed with GGA+U, the powder diffractogram of CsAc2CrO5 was calculated for λ = 1.5418 Å (Cu Kα).
Peak positions follow from Bragg's law for the DFT cell and can differ from measured ones.

The 6 most intense peaks (2θ from 10° to 90°), sorted by position:
- hkl 0 0 1, 14.7 deg, rel. 39
- hkl 2 1 0, 27.5 deg, rel. 33
- hkl 2 0 1, 28.7 deg, rel. 100
- hkl 0 0 2, 29.7 deg, rel. 36
- hkl 2 1 1, 31.3 deg, rel. 70
- hkl 2 1 2, 40.9 deg, rel. 45

a = 7.2652 Å, b = 7.2652 Å, c = 6.0202 Å
α = 90.00°, β = 90.00°, γ = 90.00°
Fractional coordinates of all 18 atoms:
Cs: 0.0000 0.0000 0.0000
Cs: 0.5000 0.5000 0.0000
Ac: 0.1826 0.3174 0.5000
Ac: 0.3174 0.8174 0.5000
Ac: 0.6826 0.1826 0.5000
Ac: 0.8174 0.6826 0.5000
Cr: 0.0000 0.5000 0.0000
Cr: 0.5000 0.0000 0.0000
O: 0.0000 0.0000 0.5000
O: 0.1266 0.6266 0.2390
O: 0.1266 0.6266 0.7610
O: 0.3734 0.1266 0.2390
O: 0.3734 0.1266 0.7610
O: 0.5000 0.5000 0.5000
O: 0.6266 0.8734 0.2390
O: 0.6266 0.8734 0.7610
O: 0.8734 0.3734 0.2390
O: 0.8734 0.3734 0.7610